The following is a theoretical powder XRD pattern of LaSm2Ni6. It was derived from the GGA-PBE geometry in Alexandria, using Cu Kα X-rays.
Peak positions follow from Bragg's law for the DFT cell and can differ from measured ones.

a = 6.9786 Å, b = 6.9786 Å, c = 3.9559 Å
α = 90.00°, β = 90.00°, γ = 120.00°
Fractional coordinates of all 9 atoms:
La  0.0000  0.0000  0.0000
Sm  0.3333  0.6667  0.0000
Sm  0.6667  0.3333  0.0000
Ni  0.0000  0.3349  0.5000
Ni  0.0000  0.6651  0.5000
Ni  0.3349  0.0000  0.5000
Ni  0.3349  0.3349  0.5000
Ni  0.6651  0.0000  0.5000
Ni  0.6651  0.6651  0.5000

Peak list (12 most intense, 15 to 90 degrees two-theta, low angle first)
25.53 deg, intensity 15, hkl 1 1 0
34.27 deg, intensity 100, hkl 1 1 1
45.00 deg, intensity 40, hkl 3 0 0
45.88 deg, intensity 12, hkl 0 0 2
52.45 deg, intensity 2, hkl 2 2 0
53.23 deg, intensity 4, hkl 1 1 2
57.76 deg, intensity 22, hkl 2 2 1
66.22 deg, intensity 24, hkl 3 0 2
76.07 deg, intensity 19, hkl 4 1 1
77.36 deg, intensity 9, hkl 1 1 3
83.03 deg, intensity 6, hkl 3 3 0
89.27 deg, intensity 2, hkl 4 1 2